Diffraction record for TiMnP2O8. The XRD peak list is calculated, not measured: it uses a PBE+U-relaxed structure and Cu Kα.
Peak positions follow from Bragg's law for the DFT cell and can differ from measured ones.

Peak list (12 most intense, 10° ≤ 2θ ≤ 90°, sorted by position)
2θ/deg, Rel. int.
20.43, 69
24.03, 100
25.10, 14
31.73, 15
32.64, 71
35.78, 31
46.82, 24
49.20, 27
56.00, 31
62.31, 17
64.32, 8
75.82, 10

Crystal structure
Lattice parameters (Å, degrees): 8.674 8.674 8.674 60.15 60.15 60.15
Positions (direct):
Ti (0.000, 0.000, 0.000)
Ti (0.208, 0.208, 0.208)
Ti (0.705, 0.705, 0.705)
Mn (0.356, 0.356, 0.356)
Mn (0.498, 0.498, 0.498)
Mn (0.854, 0.854, 0.854)
P (0.096, 0.815, 0.397)
P (0.304, 0.600, 0.901)
P (0.397, 0.096, 0.815)
P (0.600, 0.901, 0.304)
P (0.815, 0.397, 0.096)
P (0.901, 0.304, 0.600)
O (0.013, 0.880, 0.244)
O (0.092, 0.300, 0.434)
O (0.111, 0.762, 0.938)
O (0.159, 0.976, 0.354)
O (0.244, 0.013, 0.880)
O (0.254, 0.627, 0.394)
O (0.300, 0.434, 0.092)
O (0.322, 0.552, 0.748)
O (0.354, 0.159, 0.976)
O (0.394, 0.254, 0.627)
O (0.434, 0.092, 0.300)
O (0.474, 0.659, 0.848)
O (0.552, 0.748, 0.322)
O (0.592, 0.936, 0.797)
O (0.627, 0.394, 0.254)
O (0.659, 0.848, 0.474)
O (0.748, 0.322, 0.552)
O (0.762, 0.938, 0.111)
O (0.797, 0.592, 0.936)
O (0.848, 0.474, 0.659)
O (0.880, 0.244, 0.013)
O (0.936, 0.797, 0.592)
O (0.938, 0.111, 0.762)
O (0.976, 0.354, 0.159)